[1]
Structure and calculated X-ray powder pattern of Sr3Hg (a crystal structure in the Materials Project, relaxed with GGA-PBE; a wavelength of 1.5418 Å).
Neutral-atom scattering factors, no anomalous dispersion.

Main lines, by intensity (5 to 70 degrees two-theta):
28.03 deg, d = 3.183 Å, rel. 100
32.48 deg, d = 2.757 Å, rel. 51
55.26 deg, d = 1.662 Å, rel. 45
46.60 deg, d = 1.949 Å, rel. 37
16.08 deg, d = 5.513 Å, rel. 15
22.81 deg, d = 3.898 Å, rel. 14
57.95 deg, d = 1.591 Å, rel. 13
36.44 deg, d = 2.465 Å, rel. 9
40.06 deg, d = 2.251 Å, rel. 7
68.02 deg, d = 1.378 Å, rel. 6

Structural model:
a = 5.513 Å, b = 5.513 Å, c = 5.513 Å
α = 90.00°, β = 90.00°, γ = 90.00°
Fractional coordinates of all 4 atoms:
Sr: 0.000 0.000 0.500
Sr: 0.000 0.500 0.000
Sr: 0.500 0.000 0.000
Hg: 0.500 0.500 0.500

=====

[2]
Structure and calculated X-ray powder pattern of In5CuS8 (a crystal structure in the Materials Project, relaxed with GGA-PBE; a wavelength of 1.5418 Å).
Neutral-atom scattering factors, no anomalous dispersion.

Main lines, by intensity (5 to 70 degrees two-theta):
27.77 deg, d = 3.213 Å, rel. 100
48.32 deg, d = 1.884 Å, rel. 65
44.17 deg, d = 2.050 Å, rel. 44
33.65 deg, d = 2.664 Å, rel. 34
67.53 deg, d = 1.387 Å, rel. 21
23.62 deg, d = 3.767 Å, rel. 21
14.40 deg, d = 6.151 Å, rel. 17
56.65 deg, d = 1.625 Å, rel. 12
41.52 deg, d = 2.175 Å, rel. 11
29.03 deg, d = 3.076 Å, rel. 9

Structural model:
a = 7.534 Å, b = 7.534 Å, c = 7.534 Å
α = 60.00°, β = 60.00°, γ = 60.00°
Fractional coordinates of all 14 atoms:
In: 0.000 0.000 0.000
In: 0.381 0.381 0.381
In: 0.381 0.381 0.856
In: 0.381 0.856 0.381
In: 0.856 0.381 0.381
Cu: 0.750 0.750 0.750
S: 0.129 0.624 0.624
S: 0.134 0.134 0.134
S: 0.134 0.134 0.597
S: 0.134 0.597 0.134
S: 0.597 0.134 0.134
S: 0.624 0.129 0.624
S: 0.624 0.624 0.129
S: 0.624 0.624 0.624

=====

[3]
Structure and calculated X-ray powder pattern of YMg6W (a crystal structure in the Materials Project, relaxed with GGA-PBE; a wavelength of 1.5418 Å).
Neutral-atom scattering factors, no anomalous dispersion.

Main lines, by intensity (5 to 70 degrees two-theta):
37.59 deg, d = 2.393 Å, rel. 100
15.67 deg, d = 5.655 Å, rel. 74
36.40 deg, d = 2.468 Å, rel. 56
17.53 deg, d = 5.060 Å, rel. 55
23.59 deg, d = 3.771 Å, rel. 52
32.98 deg, d = 2.716 Å, rel. 48
35.48 deg, d = 2.530 Å, rel. 36
57.21 deg, d = 1.610 Å, rel. 28
49.22 deg, d = 1.851 Å, rel. 26
65.11 deg, d = 1.433 Å, rel. 26

Structural model:
a = 5.060 Å, b = 6.192 Å, c = 11.310 Å
α = 90.00°, β = 90.00°, γ = 90.00°
Fractional coordinates of all 16 atoms:
Y: 0.000 0.000 0.000
Y: 0.000 0.500 0.500
Mg: 0.000 0.248 0.251
Mg: 0.000 0.252 0.751
Mg: 0.000 0.748 0.751
Mg: 0.000 0.752 0.251
Mg: 0.500 0.000 0.168
Mg: 0.500 0.000 0.650
Mg: 0.500 0.231 0.419
Mg: 0.500 0.269 0.919
Mg: 0.500 0.500 0.150
Mg: 0.500 0.500 0.668
Mg: 0.500 0.731 0.919
Mg: 0.500 0.769 0.419
W: 0.000 0.000 0.497
W: 0.000 0.500 0.997

=====

[4]
Structure and calculated X-ray powder pattern of Zr6Al7Cu16 (a crystal structure in the Materials Project, relaxed with GGA-PBE; a wavelength of 1.5418 Å).
Neutral-atom scattering factors, no anomalous dispersion.

Main lines, by intensity (5 to 70 degrees two-theta):
39.03 deg, d = 2.308 Å, rel. 100
42.65 deg, d = 2.120 Å, rel. 90
25.74 deg, d = 3.461 Å, rel. 24
36.72 deg, d = 2.448 Å, rel. 22
44.71 deg, d = 2.027 Å, rel. 21
66.12 deg, d = 1.413 Å, rel. 21
45.38 deg, d = 1.998 Å, rel. 18
67.67 deg, d = 1.385 Å, rel. 14
49.87 deg, d = 1.829 Å, rel. 13
59.19 deg, d = 1.561 Å, rel. 8

Structural model:
a = 8.479 Å, b = 8.479 Å, c = 8.479 Å
α = 60.00°, β = 60.00°, γ = 60.00°
Fractional coordinates of all 29 atoms:
Zr: 0.205 0.205 0.795
Zr: 0.205 0.795 0.205
Zr: 0.205 0.795 0.795
Zr: 0.795 0.205 0.205
Zr: 0.795 0.205 0.795
Zr: 0.795 0.795 0.205
Al: 0.000 0.000 0.500
Al: 0.000 0.500 0.000
Al: 0.000 0.500 0.500
Al: 0.500 0.000 0.000
Al: 0.500 0.000 0.500
Al: 0.500 0.500 0.000
Al: 0.500 0.500 0.500
Cu: 0.142 0.619 0.619
Cu: 0.171 0.171 0.171
Cu: 0.171 0.171 0.487
Cu: 0.171 0.487 0.171
Cu: 0.381 0.381 0.381
Cu: 0.381 0.381 0.858
Cu: 0.381 0.858 0.381
Cu: 0.487 0.171 0.171
Cu: 0.513 0.829 0.829
Cu: 0.619 0.142 0.619
Cu: 0.619 0.619 0.142
Cu: 0.619 0.619 0.619
Cu: 0.829 0.513 0.829
Cu: 0.829 0.829 0.513
Cu: 0.829 0.829 0.829
Cu: 0.858 0.381 0.381

=====

[5]
Structure and calculated X-ray powder pattern of Dy3AlNiS7 (a crystal structure in the Materials Project, relaxed with GGA-PBE; a wavelength of 1.5418 Å).
Neutral-atom scattering factors, no anomalous dispersion.

Main lines, by intensity (5 to 70 degrees two-theta):
25.89 deg, d = 3.441 Å, rel. 100
17.88 deg, d = 4.960 Å, rel. 48
36.22 deg, d = 2.480 Å, rel. 38
37.66 deg, d = 2.388 Å, rel. 36
35.63 deg, d = 2.520 Å, rel. 35
28.54 deg, d = 3.127 Å, rel. 32
41.00 deg, d = 2.201 Å, rel. 32
49.31 deg, d = 1.848 Å, rel. 26
41.98 deg, d = 2.152 Å, rel. 24
52.81 deg, d = 1.733 Å, rel. 21

Structural model:
a = 9.554 Å, b = 9.554 Å, c = 6.197 Å
α = 90.00°, β = 90.00°, γ = 120.00°
Fractional coordinates of all 24 atoms:
Dy: 0.154 0.376 0.000
Dy: 0.222 0.846 0.000
Dy: 0.376 0.222 0.500
Dy: 0.624 0.778 0.000
Dy: 0.778 0.154 0.500
Dy: 0.846 0.624 0.500
Al: 0.333 0.667 0.426
Al: 0.667 0.333 0.926
Ni: 0.000 0.000 0.331
Ni: 0.000 0.000 0.831
S: 0.089 0.568 0.271
S: 0.099 0.231 0.596
S: 0.131 0.901 0.596
S: 0.231 0.131 0.096
S: 0.333 0.667 0.788
S: 0.432 0.521 0.271
S: 0.479 0.911 0.271
S: 0.521 0.089 0.771
S: 0.568 0.479 0.771
S: 0.667 0.333 0.288
S: 0.769 0.869 0.596
S: 0.869 0.099 0.096
S: 0.901 0.769 0.096
S: 0.911 0.432 0.771